For ErV2Fe10, DFT lattice parameters and positions (PBE) gives the computed powder diffraction line list in this record (Cu Kα).

abc: 6.4266 6.4266 6.4266
angles: 137.28 97.93 97.32
Element x y z (fractional)
Er: 0.0000 0.0000 0.0000
V: 0.3586 0.3586 0.0000
V: 0.6414 0.6414 0.0000
Fe: 0.0000 0.0000 0.5000
Fe: 0.0000 0.5000 0.0000
Fe: 0.2240 0.5000 0.7240
Fe: 0.2265 0.7265 0.5000
Fe: 0.3584 0.0000 0.3584
Fe: 0.5000 0.0000 0.0000
Fe: 0.5000 0.5000 0.5000
Fe: 0.6416 0.0000 0.6416
Fe: 0.7735 0.2735 0.5000
Fe: 0.7760 0.5000 0.2760

Largest 12 diffraction maxima, by angle, 5 to 70 degrees two-theta:
2θ/deg  d [Å]  I_rel
21.69  4.098  86
30.37  2.943  452
33.56  2.670  88
37.12  2.422  218
37.29  2.411  220
38.46  2.341  156
42.60  2.122  326
42.87  2.110  282
43.11  2.098  1000
44.22  2.048  685
45.46  1.995  84
49.43  1.844  219

=====

For Y2Er4Fe23, DFT lattice parameters and positions (PBE) gives the computed powder diffraction line list in this record (Cu Kα).

abc: 8.4894 8.4894 8.4894
angles: 120.05 89.91 120.05
Element x y z (fractional)
Y: 0.0000 0.2078 0.2078
Y: 0.0000 0.7922 0.7922
Er: 0.4165 0.2079 0.7914
Er: 0.4165 0.6250 0.2086
Er: 0.4170 0.2079 0.2091
Er: 0.9988 0.2079 0.7909
Fe: 0.0322 0.5586 0.1753
Fe: 0.0322 0.8563 0.1759
Fe: 0.0322 0.8569 0.4735
Fe: 0.0727 0.4504 0.6223
Fe: 0.2080 0.2075 0.5006
Fe: 0.2080 0.7074 0.0005
Fe: 0.2085 0.7085 0.5000
Fe: 0.3429 0.9644 0.3784
Fe: 0.3827 0.5579 0.8247
Fe: 0.3834 0.5586 0.5265
Fe: 0.3834 0.8569 0.8247
Fe: 0.5847 0.4497 0.6211
Fe: 0.5847 0.9637 0.1351
Fe: 0.5860 0.9644 0.6216
Fe: 0.6804 0.8563 0.8241
Fe: 0.7062 0.7062 0.0000
Fe: 0.7069 0.2075 0.9995
Fe: 0.7070 0.2070 0.5000
Fe: 0.7069 0.7074 0.4994
Fe: 0.7332 0.5579 0.1753
Fe: 0.8281 0.4504 0.3777
Fe: 0.8286 0.4497 0.8649
Fe: 0.8286 0.9637 0.3789

Largest 12 diffraction maxima, by angle, 5 to 70 degrees two-theta:
2θ/deg  d [Å]  I_rel
25.71  3.465  200
29.78  3.001  155
32.51  2.754  216
36.68  2.450  297
38.99  2.310  821
42.61  2.122  1000
45.34  2.000  157
54.60  1.681  145
59.12  1.563  113
63.43  1.466  171
66.05  1.415  201
67.59  1.386  117

=====

For Er3Ga2, DFT lattice parameters and positions (PBE) gives the computed powder diffraction line list in this record (Cu Kα).

abc: 10.9789 10.9789 10.9789
angles: 116.77 116.77 95.70
Element x y z (fractional)
Er: 0.0666 0.3363 0.1351
Er: 0.0685 0.9334 0.2697
Er: 0.1478 0.6478 0.5000
Er: 0.1637 0.4334 0.8649
Er: 0.1684 0.3316 0.5000
Er: 0.2012 0.9315 0.8649
Er: 0.2988 0.1637 0.7303
Er: 0.3316 0.8316 0.1632
Er: 0.3363 0.2012 0.2697
Er: 0.3522 0.8522 0.5000
Er: 0.4315 0.7012 0.8649
Er: 0.4334 0.5685 0.2697
Er: 0.5666 0.4315 0.7303
Er: 0.5685 0.2988 0.1351
Er: 0.6478 0.1478 0.5000
Er: 0.6637 0.7988 0.7303
Er: 0.6684 0.1684 0.8368
Er: 0.7012 0.8363 0.2697
Er: 0.7988 0.0685 0.1351
Er: 0.8316 0.6684 0.5000
Er: 0.8363 0.5666 0.1351
Er: 0.8522 0.3522 0.5000
Er: 0.9315 0.0666 0.7303
Er: 0.9334 0.6637 0.8649
Ga: 0.0000 0.0000 0.0000
Ga: 0.0244 0.8796 0.5000
Ga: 0.1157 0.6157 0.7313
Ga: 0.1204 0.6204 0.1448
Ga: 0.2500 0.2500 0.0000
Ga: 0.3796 0.5244 0.5000
Ga: 0.3843 0.1157 0.5000
Ga: 0.4756 0.9756 0.8552
Ga: 0.5000 0.5000 0.0000
Ga: 0.5244 0.0244 0.1448
Ga: 0.6157 0.8843 0.5000
Ga: 0.6204 0.4756 0.5000
Ga: 0.7500 0.7500 0.0000
Ga: 0.8796 0.3796 0.8552
Ga: 0.8843 0.3843 0.2687
Ga: 0.9756 0.1204 0.5000

Largest 12 diffraction maxima, by angle, 5 to 70 degrees two-theta:
2θ/deg  d [Å]  I_rel
24.16  3.684  182
32.64  2.743  860
32.79  2.731  240
33.01  2.713  313
33.47  2.677  419
34.64  2.589  1000
34.86  2.574  268
35.09  2.558  211
37.04  2.427  290
54.61  1.681  189
56.53  1.628  186
62.36  1.489  206